Starting from a structure optimized by DFT (PBE), the X-ray diffraction stick pattern of K2CeP2O8 was computed for CuKα.

Largest 10 diffraction maxima, sorted by position, 2θ from 10° to 90°:
h k l	2theta	d (Å)	intensity
1 0 1	13.71	6.457	100
1 0 3	19.69	4.510	22
2 0 0	25.72	3.464	49
1 0 5	28.15	3.170	53
2 1 1	29.26	3.052	58
1 1 6	35.34	2.540	24
2 2 4	42.10	2.146	21
2 1 7	46.15	1.967	15
3 0 5	46.88	1.938	19
3 1 6	51.86	1.763	22

Crystal structure
Lattice parameters (Å, degrees): 6.927 6.927 17.824 90.00 90.00 90.00
Space group I4_1/amd (No. 141, origin choice 2)
Symmetry-distinct sites (fractional):
K  0.000  0.000  0.000
Ce  0.000  0.250  0.375
P  0.000  0.250  0.198
O  0.000  0.071  0.250
O  0.000  0.072  0.605